Starting from DFT lattice parameters and positions (PBE), the powder diffractogram of Cs2PuU2S6 was simulated for Cu Kα.

Peak list (10 most intense, 2θ from 10° to 80°, by intensity)
two_theta  I/Imax  index
10.73  100.0  0 0 1
29.15  95.0  1 3 1
26.34  81.7  2 0 0
21.55  52.9  0 0 2
29.30  47.0  2 0 -2
44.61  46.3  3 3 -1
38.82  36.2  1 3 -3
49.99  24.5  3 3 1
25.58  23.8  2 0 -1
44.70  21.4  1 3 3

Cell and atoms:
```
data_Cs2PuU2S6
_cell_length_a 7.031
_cell_length_b 12.196
_cell_length_c 8.561
_cell_angle_alpha 90.00
_cell_angle_beta 105.53
_cell_angle_gamma 90.00
_space_group_name_H-M_alt 'C 1 2/m 1'
_space_group_IT_number 12
loop_
_space_group_symop_operation_xyz
'x,y,z'
'-x,-y,-z'
'-x,y,-z'
'x,-y,z'
'x+1/2,y+1/2,z'
'-x+1/2,-y+1/2,-z'
'-x+1/2,y+1/2,-z'
'x+1/2,-y+1/2,z'
loop_
_atom_site_label
_atom_site_type_symbol
_atom_site_fract_x
_atom_site_fract_y
_atom_site_fract_z
Cs1 Cs 0.000 0.165 0.000
Pu1 Pu 0.000 0.000 0.500
U1 U 0.000 0.334 0.500
S1 S 0.218 0.500 0.676
S2 S 0.227 0.171 0.675
```